No. 1
Theoretical X-ray diffraction stick pattern
Compound: Li2Er3In5
Radiation: λ = 1.5418 Å (Cu Kα)
Structure: a DFT-relaxed cell (GGA-PBE, Alexandria)
Intensities are scaled so that the largest is 100.

Largest 10 diffraction maxima, most intense first, 5° ≤ 2θ ≤ 70°:
2θ (°)  intensity
34.4  100
28.2  70
36.0  46
32.0  30
41.3  28
55.9  26
39.2  25
37.7  21
58.2  16
68.0  15

Atomic structure:
a = 10.2764 Å, b = 10.2764 Å, c = 4.3757 Å
α = 90.00°, β = 90.00°, γ = 90.00°
Fractional coordinates of all 20 atoms:
Li (0.1204, 0.3796, 0.0000)
Li (0.3796, 0.8796, 0.0000)
Li (0.6204, 0.1204, 0.0000)
Li (0.8796, 0.6204, 0.0000)
Er (0.0000, 0.0000, 0.0000)
Er (0.1743, 0.6743, 0.0000)
Er (0.3257, 0.1743, 0.0000)
Er (0.5000, 0.5000, 0.0000)
Er (0.6743, 0.8257, 0.0000)
Er (0.8257, 0.3257, 0.0000)
In (0.0000, 0.5000, 0.5000)
In (0.0751, 0.2109, 0.5000)
In (0.2109, 0.9249, 0.5000)
In (0.2891, 0.4249, 0.5000)
In (0.4249, 0.7109, 0.5000)
In (0.5000, 0.0000, 0.5000)
In (0.5751, 0.2891, 0.5000)
In (0.7109, 0.5751, 0.5000)
In (0.7891, 0.0751, 0.5000)
In (0.9249, 0.7891, 0.5000)

---

No. 2
Theoretical X-ray diffraction stick pattern
Compound: LiPmEr2In4
Radiation: λ = 1.5418 Å (Cu Kα)
Structure: a DFT-relaxed cell (GGA-PBE, Alexandria)
Intensities are scaled so that the largest is 100.

Largest 10 diffraction maxima, most intense first, 5° ≤ 2θ ≤ 70°:
2θ (°)  intensity
33.8  100
34.4  98
61.3  35
49.0  35
61.7  20
60.1  17
20.8  11
26.1  10
20.0  9
10.1  6

Atomic structure:
a = 9.2387 Å, b = 9.2387 Å, c = 9.2387 Å
α = 32.77°, β = 32.77°, γ = 32.77°
Fractional coordinates of all 8 atoms:
Li (0.0000, 0.0000, 0.0000)
Pm (0.5000, 0.5000, 0.5000)
Er (0.2535, 0.2535, 0.2535)
Er (0.7465, 0.7465, 0.7465)
In (0.1210, 0.1210, 0.1210)
In (0.3723, 0.3723, 0.3723)
In (0.6277, 0.6277, 0.6277)
In (0.8790, 0.8790, 0.8790)

---

No. 3
Theoretical X-ray diffraction stick pattern
Compound: SrLiEr2In4
Radiation: λ = 1.5418 Å (Cu Kα)
Structure: a DFT-relaxed cell (GGA-PBE, Alexandria)
Intensities are scaled so that the largest is 100.

Largest 10 diffraction maxima, most intense first, 5° ≤ 2θ ≤ 70°:
2θ (°)  intensity
34.0  100
33.2  98
60.3  34
48.2  34
20.5  21
60.8  18
58.8  14
39.7  13
19.9  13
25.6  9

Atomic structure:
a = 9.4302 Å, b = 9.4302 Å, c = 9.4302 Å
α = 32.52°, β = 32.52°, γ = 32.52°
Fractional coordinates of all 8 atoms:
Sr (0.0000, 0.0000, 0.0000)
Li (0.5000, 0.5000, 0.5000)
Er (0.2453, 0.2453, 0.2453)
Er (0.7547, 0.7547, 0.7547)
In (0.1280, 0.1280, 0.1280)
In (0.3842, 0.3842, 0.3842)
In (0.6158, 0.6158, 0.6158)
In (0.8720, 0.8720, 0.8720)

---

No. 4
Theoretical X-ray diffraction stick pattern
Compound: ErMgIn
Radiation: λ = 1.5418 Å (Cu Kα)
Structure: a DFT-relaxed cell (GGA-PBE, Alexandria)
Intensities are scaled so that the largest is 100.

Largest 10 diffraction maxima, most intense first, 5° ≤ 2θ ≤ 70°:
2θ (°)  intensity
33.7  100
30.7  50
27.6  27
38.6  23
54.8  18
23.8  17
36.8  16
19.0  14
66.7  14
50.9  13

Atomic structure:
a = 7.4699 Å, b = 7.4699 Å, c = 4.6703 Å
α = 90.00°, β = 90.00°, γ = 120.00°
Fractional coordinates of all 9 atoms:
Er (0.0000, 0.5638, 0.0000)
Er (0.4362, 0.4362, 0.0000)
Er (0.5638, 0.0000, 0.0000)
Mg (0.0000, 0.2415, 0.5000)
Mg (0.2415, 0.0000, 0.5000)
Mg (0.7585, 0.7585, 0.5000)
In (0.0000, 0.0000, 0.0000)
In (0.3333, 0.6667, 0.5000)
In (0.6667, 0.3333, 0.5000)

---

No. 5
Theoretical X-ray diffraction stick pattern
Compound: ErMg7In4
Radiation: λ = 1.5418 Å (Cu Kα)
Structure: a DFT-relaxed cell (GGA-PBE, Alexandria)
Intensities are scaled so that the largest is 100.

Largest 10 diffraction maxima, most intense first, 5° ≤ 2θ ≤ 70°:
2θ (°)  intensity
23.0  100
31.9  72
27.1  65
29.9  56
33.7  39
44.2  38
47.0  30
37.6  30
23.3  25
25.2  25

Atomic structure:
a = 6.9051 Å, b = 6.9051 Å, c = 10.5937 Å
α = 121.46°, β = 121.46°, γ = 48.00°
Fractional coordinates of all 12 atoms:
Er (0.0000, 0.0000, 0.0000)
Mg (0.0790, 0.0790, 0.4225)
Mg (0.2828, 0.2828, 0.3541)
Mg (0.3225, 0.3225, 0.1045)
Mg (0.5000, 0.5000, 0.0000)
Mg (0.6775, 0.6775, 0.8955)
Mg (0.7172, 0.7172, 0.6459)
Mg (0.9210, 0.9210, 0.5775)
In (0.2031, 0.2031, 0.7759)
In (0.3900, 0.3900, 0.6779)
In (0.6100, 0.6100, 0.3221)
In (0.7969, 0.7969, 0.2241)

---

No. 6
Theoretical X-ray diffraction stick pattern
Compound: Er7Mg2In2
Radiation: λ = 1.5418 Å (Cu Kα)
Structure: a DFT-relaxed cell (GGA-PBE, Alexandria)
Intensities are scaled so that the largest is 100.

Largest 10 diffraction maxima, most intense first, 5° ≤ 2θ ≤ 70°:
2θ (°)  intensity
37.2  100
31.9  95
30.8  80
25.5  77
28.2  70
34.7  61
25.8  53
43.1  43
34.2  41
69.1  39

Atomic structure:
a = 6.5586 Å, b = 6.5586 Å, c = 8.7457 Å
α = 90.00°, β = 90.00°, γ = 117.68°
Fractional coordinates of all 11 atoms:
Er (0.0000, 0.0000, 0.0000)
Er (0.0000, 0.5000, 0.3037)
Er (0.0000, 0.5000, 0.6963)
Er (0.5000, 0.0000, 0.3037)
Er (0.5000, 0.0000, 0.6963)
Er (0.5000, 0.5000, 0.2082)
Er (0.5000, 0.5000, 0.7918)
Mg (0.2754, 0.7246, 0.0000)
Mg (0.7246, 0.2754, 0.0000)
In (0.2207, 0.2207, 0.5000)
In (0.7793, 0.7793, 0.5000)

---

No. 7
Theoretical X-ray diffraction stick pattern
Compound: ErMg14In
Radiation: λ = 1.5418 Å (Cu Kα)
Structure: a DFT-relaxed cell (GGA-PBE, Alexandria)
Intensities are scaled so that the largest is 100.

Largest 10 diffraction maxima, most intense first, 5° ≤ 2θ ≤ 70°:
2θ (°)  intensity
34.1  100
10.3  47
21.6  40
38.4  36
18.9  27
66.6  27
28.8  21
28.1  21
58.1  20
41.9  14

Atomic structure:
a = 6.6379 Å, b = 6.6379 Å, c = 8.6202 Å
α = 90.00°, β = 90.00°, γ = 90.00°
Fractional coordinates of all 16 atoms:
Er (0.0000, 0.0000, 0.0000)
Mg (0.0000, 0.0000, 0.5000)
Mg (0.0000, 0.5000, 0.0000)
Mg (0.0000, 0.5000, 0.5000)
Mg (0.2512, 0.2512, 0.2558)
Mg (0.2512, 0.2512, 0.7442)
Mg (0.2512, 0.7488, 0.2558)
Mg (0.2512, 0.7488, 0.7442)
Mg (0.5000, 0.0000, 0.0000)
Mg (0.5000, 0.0000, 0.5000)
Mg (0.5000, 0.5000, 0.5000)
Mg (0.7488, 0.2512, 0.2558)
Mg (0.7488, 0.2512, 0.7442)
Mg (0.7488, 0.7488, 0.2558)
Mg (0.7488, 0.7488, 0.7442)
In (0.5000, 0.5000, 0.0000)

---

No. 8
Theoretical X-ray diffraction stick pattern
Compound: Er2Mg3In2
Radiation: λ = 1.5418 Å (Cu Kα)
Structure: a DFT-relaxed cell (GGA-PBE, Alexandria)
Intensities are scaled so that the largest is 100.

Largest 10 diffraction maxima, most intense first, 5° ≤ 2θ ≤ 70°:
2θ (°)  intensity
8.0  100
34.5  40
34.3  36
32.5  24
38.1  16
30.7  15
53.3  15
35.8  14
64.9  11
38.3  11

Atomic structure:
a = 4.7233 Å, b = 21.9673 Å, c = 3.4385 Å
α = 90.00°, β = 90.00°, γ = 90.00°
Fractional coordinates of all 14 atoms:
Er (0.0000, 0.1546, 0.0000)
Er (0.0000, 0.8454, 0.0000)
Er (0.5000, 0.3454, 0.0000)
Er (0.5000, 0.6546, 0.0000)
Mg (0.0000, 0.0000, 0.0000)
Mg (0.0000, 0.4292, 0.5000)
Mg (0.0000, 0.5708, 0.5000)
Mg (0.5000, 0.0708, 0.5000)
Mg (0.5000, 0.5000, 0.0000)
Mg (0.5000, 0.9292, 0.5000)
In (0.0000, 0.2897, 0.5000)
In (0.0000, 0.7103, 0.5000)
In (0.5000, 0.2103, 0.5000)
In (0.5000, 0.7897, 0.5000)

---

No. 9
Theoretical X-ray diffraction stick pattern
Compound: ErMgTlIn
Radiation: λ = 1.5418 Å (Cu Kα)
Structure: a DFT-relaxed cell (GGA-PBE, Alexandria)
Intensities are scaled so that the largest is 100.

Largest 10 diffraction maxima, most intense first, 5° ≤ 2θ ≤ 70°:
2θ (°)  intensity
33.7  100
19.1  19
38.5  18
38.7  17
27.6  17
40.3  15
66.6  14
67.0  14
69.0  13
55.7  12

Atomic structure:
a = 4.4805 Å, b = 4.6487 Å, c = 4.6797 Å
α = 90.00°, β = 90.00°, γ = 90.00°
Fractional coordinates of all 4 atoms:
Er (0.0000, 0.0000, 0.0000)
Mg (0.0000, 0.5000, 0.5000)
Tl (0.5000, 0.0000, 0.5000)
In (0.5000, 0.5000, 0.0000)

---

No. 10
Theoretical X-ray diffraction stick pattern
Compound: Er6Mn2In
Radiation: λ = 1.5418 Å (Cu Kα)
Structure: a DFT-relaxed cell (GGA-PBE, Alexandria)
Intensities are scaled so that the largest is 100.

Largest 10 diffraction maxima, most intense first, 5° ≤ 2θ ≤ 70°:
2θ (°)  intensity
32.1  100
34.4  25
34.8  22
35.1  20
38.0  18
59.8  15
36.3  14
28.6  14
29.8  13
54.5  12

Atomic structure:
a = 8.3588 Å, b = 8.3588 Å, c = 8.3588 Å
α = 110.99°, β = 110.14°, γ = 107.30°
Fractional coordinates of all 18 atoms:
Er (0.0140, 0.2319, 0.7822)
Er (0.1913, 0.2865, 0.4778)
Er (0.1913, 0.7135, 0.9048)
Er (0.3119, 0.0192, 0.7073)
Er (0.3119, 0.6046, 0.2927)
Er (0.4497, 0.2319, 0.2178)
Er (0.5503, 0.7681, 0.7822)
Er (0.6881, 0.3954, 0.7073)
Er (0.6881, 0.9808, 0.2927)
Er (0.8087, 0.2865, 0.0952)
Er (0.8087, 0.7135, 0.5222)
Er (0.9860, 0.7681, 0.2178)
Mn (0.1056, 0.6056, 0.5000)
Mn (0.3860, 0.0000, 0.3860)
Mn (0.6140, 0.0000, 0.6140)
Mn (0.8944, 0.3944, 0.5000)
In (0.0000, 0.0000, 0.0000)
In (0.5000, 0.5000, 0.0000)

---

No. 11
Theoretical X-ray diffraction stick pattern
Compound: NaErTlIn
Radiation: λ = 1.5418 Å (Cu Kα)
Structure: a DFT-relaxed cell (GGA-PBE, Alexandria)
Intensities are scaled so that the largest is 100.

Largest 10 diffraction maxima, most intense first, 5° ≤ 2θ ≤ 70°:
2θ (°)  intensity
33.7  100
16.9  27
34.1  24
34.3  24
60.8  18
61.0  18
49.1  17
28.9  15
60.0  10
60.1  9

Atomic structure:
a = 3.8095 Å, b = 5.2343 Å, c = 5.2617 Å
α = 90.00°, β = 90.00°, γ = 90.00°
Fractional coordinates of all 4 atoms:
Na (0.0000, 0.0000, 0.0000)
Er (0.0000, 0.5000, 0.5000)
Tl (0.5000, 0.5000, 0.0000)
In (0.5000, 0.0000, 0.5000)

---

No. 12
Theoretical X-ray diffraction stick pattern
Compound: Nd2Er5In
Radiation: λ = 1.5418 Å (Cu Kα)
Structure: a DFT-relaxed cell (GGA-PBE, Alexandria)
Intensities are scaled so that the largest is 100.

Largest 10 diffraction maxima, most intense first, 5° ≤ 2θ ≤ 70°:
2θ (°)  intensity
33.5  100
32.8  76
30.5  75
53.5  28
29.3  22
34.9  21
60.9  21
55.1  17
61.4  14
56.6  14

Atomic structure:
a = 7.1214 Å, b = 8.5223 Å, c = 8.0897 Å
α = 90.00°, β = 90.00°, γ = 90.00°
Fractional coordinates of all 16 atoms:
Nd (0.0000, 0.0000, 0.0000)
Nd (0.0000, 0.0000, 0.4086)
Nd (0.5000, 0.5000, 0.5000)
Nd (0.5000, 0.5000, 0.9086)
Er (0.0000, 0.5000, 0.5301)
Er (0.2432, 0.2978, 0.2151)
Er (0.2432, 0.7022, 0.2151)
Er (0.2568, 0.2022, 0.7151)
Er (0.2568, 0.7978, 0.7151)
Er (0.5000, 0.0000, 0.0301)
Er (0.7432, 0.2022, 0.7151)
Er (0.7432, 0.7978, 0.7151)
Er (0.7568, 0.2978, 0.2151)
Er (0.7568, 0.7022, 0.2151)
In (0.0000, 0.5000, 0.9311)
In (0.5000, 0.0000, 0.4311)

---

Which formula does entry 9 have?
ErMgTlIn